Pm2PuScAs4: theoretical XRD peak list (Cu Kα, 1.54184 Å), based on a GGA-PBE-relaxed structure.
Lines closer than 0.1° are merged.

Most intense lines, 2θ = 10–90°, by angle:
2theta  I_rel  (hkl)
26.45  130  0 0 2
30.66  1000  1 1 1
43.74  127  0 2 0
43.94  614  3 1 -1
54.40  132  2 2 -2
72.58  161  5 1 -3

Structure:
Lattice parameters (Å, degrees): 7.1230 4.1393 7.1368 90.00 109.46 90.00
Space group P2/m (No. 10)
Symmetry-distinct sites (fractional):
Pm (0.0000, 0.0000, 0.0000)
Pm (0.5000, 0.5000, 0.0000)
Pu (0.0000, 0.5000, 0.5000)
Sc (0.5000, 0.0000, 0.5000)
As (0.2508, 0.0000, 0.7357)
As (0.2613, 0.5000, 0.2680)

---

Pm3As2Rh6: theoretical XRD peak list (Cu Kα, 1.54184 Å), based on a GGA-PBE-relaxed structure.
Lines closer than 0.1° are merged.

Most intense lines, 2θ = 10–90°, by angle:
2theta  I_rel  (hkl)
33.20  279  2 2 2
35.94  306  3 2 1
40.96  1000  3 3 0
66.32  166  6 2 2
74.60  205  6 3 3
84.13  156  7 4 1

Structure:
Lattice parameters (Å, degrees): 9.3484 9.3484 9.3484 90.00 90.00 90.00
Space group Im-3m (No. 229)
Symmetry-distinct sites (fractional):
Pm (0.0000, 0.0000, 0.2799)
As (0.2500, 0.2500, 0.2500)
Rh (0.0000, 0.3465, 0.3465)

---

Pm3As4Rh4: theoretical XRD peak list (Cu Kα, 1.54184 Å), based on a GGA-PBE-relaxed structure.
Lines closer than 0.1° are merged.

Most intense lines, 2θ = 10–90°, by angle:
2theta  I_rel  (hkl)
33.53  1000  1 2 1
34.58  303  0 1 5
35.89  702  1 1 4
38.90  273  0 0 6
42.42  282  0 3 3
43.46  397  2 0 0

Structure:
Lattice parameters (Å, degrees): 4.1654 7.1990 13.9022 90.00 90.00 90.00
Space group Immm (No. 71)
Symmetry-distinct sites (fractional):
Pm (0.0000, 0.0000, 0.0000)
Pm (0.0000, 0.5000, 0.1251)
As (0.0000, 0.0000, 0.2166)
As (0.0000, 0.2076, 0.5000)
Rh (0.0000, 0.2981, 0.3216)

---

Pm3As4Rh4: theoretical XRD peak list (Cu Kα, 1.54184 Å), based on a GGA-PBE-relaxed structure.
Lines closer than 0.1° are merged.

Most intense lines, 2θ = 10–90°, by angle:
2theta  I_rel  (hkl)
33.32  419  1 0 7
33.78  1000  1 1 4
42.60  287  0 2 0
44.91  482  2 0 0
55.13  198  1 2 7
63.63  172  2 2 0

Structure:
Lattice parameters (Å, degrees): 4.0356 4.2450 25.2455 90.00 90.00 90.00
Space group Immm (No. 71)
Symmetry-distinct sites (fractional):
Pm (0.0000, 0.0000, 0.0000)
Pm (0.0000, 0.5000, 0.1466)
As (0.0000, 0.0000, 0.4487)
As (0.0000, 0.5000, 0.3078)
Rh (0.0000, 0.0000, 0.2491)
Rh (0.0000, 0.5000, 0.4039)

---

PmAs2Rh2: theoretical XRD peak list (Cu Kα, 1.54184 Å), based on a GGA-PBE-relaxed structure.
Lines closer than 0.1° are merged.

Most intense lines, 2θ = 10–90°, by angle:
2theta  I_rel  (hkl)
33.99  654  1 0 3
34.62  1000  1 1 2
42.27  659  2 0 0
50.15  248  1 0 5
55.31  322  2 1 3
72.36  229  3 1 2

Structure:
Lattice parameters (Å, degrees): 4.2765 4.2765 10.0508 90.00 90.00 90.00
Space group P4/nmm (No. 129, origin choice 2)
Symmetry-distinct sites (fractional):
Pm (0.2500, 0.2500, 0.2475)
As (0.2500, 0.2500, 0.6369)
As (0.2500, 0.7500, 0.0000)
Rh (0.2500, 0.2500, 0.8778)
Rh (0.2500, 0.7500, 0.5000)

---

Pm3As4Rh7: theoretical XRD peak list (Cu Kα, 1.54184 Å), based on a GGA-PBE-relaxed structure.
Lines closer than 0.1° are merged.

Most intense lines, 2θ = 10–90°, by angle:
2theta  I_rel  (hkl)
35.32  1000  1 1 2
35.82  361  3 1 -3
36.18  224  6 0 -3
36.39  747  5 1 -2
42.68  335  6 0 0
44.17  542  0 2 0

Structure:
Lattice parameters (Å, degrees): 15.5313 4.1008 9.5132 90.00 125.08 90.00
Space group C2/m (No. 12)
Symmetry-distinct sites (fractional):
Pm (0.0000, 0.0000, 0.0000)
Pm (0.1697, 0.5000, 0.6653)
As (0.1095, 0.0000, 0.8304)
As (0.1657, 0.5000, 0.2725)
Rh (0.0000, 0.0000, 0.5000)
Rh (0.0081, 0.5000, 0.2792)
Rh (0.1667, 0.0000, 0.4246)
Rh (0.1971, 0.5000, 0.0399)

---

Pm3Sb2AsRh8: theoretical XRD peak list (Cu Kα, 1.54184 Å), based on a GGA-PBE-relaxed structure.
Lines closer than 0.1° are merged.

Most intense lines, 2θ = 10–90°, by angle:
2theta  I_rel  (hkl)
32.67  1000  1 1 0
37.36  600  1 1 2
38.97  654  0 2 1
40.60  862  0 1 4
63.70  460  1 2 4
68.46  489  2 2 0

Structure:
Lattice parameters (Å, degrees): 5.4837 5.4837 10.0572 90.00 90.00 120.00
Space group P-3m1 (No. 164)
Symmetry-distinct sites (fractional):
Pm (0.0000, 0.0000, 0.0000)
Pm (0.3333, 0.6667, 0.5625)
Sb (0.3333, 0.6667, 0.0928)
As (0.0000, 0.0000, 0.5000)
Rh (0.1625, 0.3250, 0.2932)
Rh (0.3333, 0.6667, 0.8380)

---

TbPmAs2Rh5: theoretical XRD peak list (Cu Kα, 1.54184 Å), based on a GGA-PBE-relaxed structure.
Lines closer than 0.1° are merged.

Most intense lines, 2θ = 10–90°, by angle:
2theta  I_rel  (hkl)
29.09  164  1 0 2
36.05  1000  1 1 2
42.39  502  2 0 0
61.50  164  2 2 0
71.20  170  1 1 6
73.40  244  3 1 2

Structure:
Lattice parameters (Å, degrees): 4.2645 4.2645 8.8441 90.00 90.00 90.00
Space group P4/mmm (No. 123)
Symmetry-distinct sites (fractional):
Tb (0.0000, 0.0000, 0.0000)
Pm (0.0000, 0.0000, 0.5000)
As (0.5000, 0.5000, 0.1465)
Rh (0.0000, 0.5000, 0.2643)
Rh (0.5000, 0.5000, 0.5000)